Computed PXRD pattern
Compound: Ac4Nd2Sb3N2
Radiation: Cu Kα
Structure: DFT lattice parameters and positions (GGA-PBE)
Peak positions follow from Bragg's law for the DFT cell and can differ from measured ones.

Principal peaks in the range 15° ≤ 2θ ≤ 90°, low angle first:
25.85 deg, rel. 45
26.46 deg, rel. 13
28.32 deg, rel. 26
32.05 deg, rel. 100
33.25 deg, rel. 13
35.61 deg, rel. 52
44.91 deg, rel. 12
49.51 deg, rel. 17
51.24 deg, rel. 18
61.73 deg, rel. 31

Crystal structure
```
data_Ac4Nd2Sb3N2
_chemical_formula_sum 'Ac4 Nd2 Sb3 N2'
_cell_length_a 13.9379
_cell_length_b 13.9379
_cell_length_c 13.9379
_cell_angle_alpha 159.16
_cell_angle_beta 159.16
_cell_angle_gamma 29.64
_symmetry_space_group_name_H-M 'P 1'
_symmetry_Int_Tables_number 1
loop_
_symmetry_equiv_pos_as_xyz
'x,y,z'
loop_
_atom_site_label
_atom_site_type_symbol
_atom_site_fract_x
_atom_site_fract_y
_atom_site_fract_z
Ac1 Ac 0.0847 0.5847 0.5000
Ac2 Ac 0.4153 0.9153 0.5000
Ac3 Ac 0.5847 0.0847 0.5000
Ac4 Ac 0.9153 0.4153 0.5000
Nd1 Nd 0.1951 0.1951 0.0000
Nd2 Nd 0.8049 0.8049 0.0000
Sb1 Sb 0.3190 0.3190 0.0000
Sb2 Sb 0.5000 0.5000 0.0000
Sb3 Sb 0.6810 0.6810 0.0000
N1 N 0.1107 0.1107 0.0000
N2 N 0.8893 0.8893 0.0000
```

Computed PXRD pattern
Compound: Ac2Nd4Sn3N2
Radiation: Cu Kα
Structure: DFT lattice parameters and positions (GGA-PBE)
Peak positions follow from Bragg's law for the DFT cell and can differ from measured ones.

Principal peaks in the range 15° ≤ 2θ ≤ 90°, low angle first:
20.50 deg, rel. 18
26.25 deg, rel. 51
26.84 deg, rel. 19
29.62 deg, rel. 20
32.54 deg, rel. 100
36.17 deg, rel. 55
45.61 deg, rel. 19
47.42 deg, rel. 11
52.08 deg, rel. 20
62.77 deg, rel. 31

Crystal structure
```
data_Ac2Nd4Sn3N2
_chemical_formula_sum 'Ac2 Nd4 Sn3 N2'
_cell_length_a 13.7446
_cell_length_b 13.7446
_cell_length_c 13.7446
_cell_angle_alpha 159.18
_cell_angle_beta 159.18
_cell_angle_gamma 29.61
_symmetry_space_group_name_H-M 'P 1'
_symmetry_Int_Tables_number 1
loop_
_symmetry_equiv_pos_as_xyz
'x,y,z'
loop_
_atom_site_label
_atom_site_type_symbol
_atom_site_fract_x
_atom_site_fract_y
_atom_site_fract_z
Ac1 Ac 0.1924 0.1924 0.0000
Ac2 Ac 0.8076 0.8076 0.0000
Nd1 Nd 0.0816 0.5816 0.5000
Nd2 Nd 0.4184 0.9184 0.5000
Nd3 Nd 0.5816 0.0816 0.5000
Nd4 Nd 0.9184 0.4184 0.5000
Sn1 Sn 0.3290 0.3290 0.0000
Sn2 Sn 0.5000 0.5000 0.0000
Sn3 Sn 0.6710 0.6710 0.0000
N1 N 0.0997 0.0997 0.0000
N2 N 0.9003 0.9003 0.0000
```

Computed PXRD pattern
Compound: AcNdTaN4
Radiation: Cu Kα
Structure: DFT lattice parameters and positions (GGA-PBE)
Peak positions follow from Bragg's law for the DFT cell and can differ from measured ones.

Principal peaks in the range 15° ≤ 2θ ≤ 90°, low angle first:
30.18 deg, rel. 100
30.84 deg, rel. 60
41.47 deg, rel. 12
42.20 deg, rel. 10
44.18 deg, rel. 27
53.17 deg, rel. 16
54.38 deg, rel. 20
54.49 deg, rel. 20
62.74 deg, rel. 11
72.61 deg, rel. 9

Crystal structure
```
data_AcNdTaN4
_chemical_formula_sum 'Ac2 Nd2 Ta2 N8'
_cell_length_a 7.0497
_cell_length_b 7.0497
_cell_length_c 5.7907
_cell_angle_alpha 90.00
_cell_angle_beta 90.00
_cell_angle_gamma 131.36
_symmetry_space_group_name_H-M 'P 1'
_symmetry_Int_Tables_number 1
loop_
_symmetry_equiv_pos_as_xyz
'x,y,z'
loop_
_atom_site_label
_atom_site_type_symbol
_atom_site_fract_x
_atom_site_fract_y
_atom_site_fract_z
Ac1 Ac 0.1042 0.8958 0.7500
Ac2 Ac 0.8958 0.1042 0.2500
Nd1 Nd 0.3919 0.6081 0.7500
Nd2 Nd 0.6081 0.3919 0.2500
Ta1 Ta 0.2551 0.7449 0.2500
Ta2 Ta 0.7449 0.2551 0.7500
N1 N 0.0000 0.5000 0.0000
N2 N 0.0000 0.5000 0.5000
N3 N 0.0882 0.9118 0.2500
N4 N 0.4195 0.5805 0.2500
N5 N 0.5000 0.0000 0.0000
N6 N 0.5000 0.0000 0.5000
N7 N 0.5805 0.4195 0.7500
N8 N 0.9118 0.0882 0.7500
```

Computed PXRD pattern
Compound: Ac3NdTc2N6
Radiation: Cu Kα
Structure: DFT lattice parameters and positions (GGA-PBE)
Peak positions follow from Bragg's law for the DFT cell and can differ from measured ones.

Principal peaks in the range 15° ≤ 2θ ≤ 90°, low angle first:
20.94 deg, rel. 18
29.24 deg, rel. 100
30.32 deg, rel. 91
42.62 deg, rel. 42
51.84 deg, rel. 23
52.52 deg, rel. 40
54.52 deg, rel. 14
60.63 deg, rel. 17
69.29 deg, rel. 18
83.78 deg, rel. 14

Crystal structure
```
data_Ac3NdTc2N6
_chemical_formula_sum 'Ac3 Nd1 Tc2 N6'
_cell_length_a 6.1090
_cell_length_b 6.1090
_cell_length_c 7.1012
_cell_angle_alpha 90.00
_cell_angle_beta 90.00
_cell_angle_gamma 120.00
_symmetry_space_group_name_H-M 'P 1'
_symmetry_Int_Tables_number 1
loop_
_symmetry_equiv_pos_as_xyz
'x,y,z'
loop_
_atom_site_label
_atom_site_type_symbol
_atom_site_fract_x
_atom_site_fract_y
_atom_site_fract_z
Ac1 Ac 0.0000 0.0000 0.0000
Ac2 Ac 0.3333 0.6667 0.6997
Ac3 Ac 0.6667 0.3333 0.3003
Nd1 Nd 0.0000 0.0000 0.5000
Tc1 Tc 0.3333 0.6667 0.1860
Tc2 Tc 0.6667 0.3333 0.8140
N1 N 0.1713 0.3426 0.2782
N2 N 0.1713 0.8287 0.2782
N3 N 0.3426 0.1713 0.7218
N4 N 0.6574 0.8287 0.2782
N5 N 0.8287 0.1713 0.7218
N6 N 0.8287 0.6574 0.7218
```